# 1
Structure and computed powder XRD pattern of LaHo2Rh3 (a PBE-relaxed structure; λ = 1.5418 Å (Cu Kα)).
Kinematic intensities with the Lorentz-polarization factor, no thermal factor.

Principal peaks in the range 10° ≤ 2θ ≤ 90°, sorted by position:
| d_spacing | intensity | (hkl) |
| --- | --- | --- |
| 2.460 | 998 | 0 1 2 |
| 2.453 | 1000 | 1 1 0 |
| 1.737 | 347 | 2 0 2 |
| 1.422 | 173 | 1 0 4 |
| 1.417 | 529 | 3 0 0 |
| 1.098 | 160 | 3 1 2 |

Structural model:
Cell lengths 4.9067, 4.9067, 6.0339 Å; angles 90.00, 90.00, 120.00 degrees
Space group P-3m1 (No. 164)
One atom of each set of equivalent atoms:
La 0.0000 0.0000 0.0000 (multiplicity 1)
Ho 0.3333 0.6667 0.6609 (multiplicity 2)
Rh 0.0000 0.0000 0.5000 (multiplicity 1)
Rh 0.3333 0.6667 0.1798 (multiplicity 2)

# 2
Structure and computed powder XRD pattern of Na3PuAu4 (a PBE-relaxed structure; λ = 1.5418 Å (Cu Kα)).
Kinematic intensities with the Lorentz-polarization factor, no thermal factor.

Principal peaks in the range 10° ≤ 2θ ≤ 90°, sorted by position:
| d_spacing | intensity | (hkl) |
| --- | --- | --- |
| 8.289 | 254 | 0 0 3 |
| 3.574 | 471 | 1 0 4 |
| 2.533 | 986 | 0 1 8 |
| 2.522 | 1000 | 1 1 0 |
| 1.787 | 352 | 2 0 8 |
| 1.458 | 548 | 3 0 0 |

Structural model:
Cell lengths 5.0447, 5.0447, 24.8676 Å; angles 90.00, 90.00, 120.00 degrees
Space group R-3m (No. 166, hexagonal axes)
One atom of each set of equivalent atoms:
Na 0.0000 0.0000 0.0000 (multiplicity 3)
Na 0.0000 0.0000 0.2559 (multiplicity 6)
Pu 0.0000 0.0000 0.5000 (multiplicity 3)
Au 0.0000 0.0000 0.1280 (multiplicity 6)
Au 0.0000 0.0000 0.3789 (multiplicity 6)

# 3
Structure and computed powder XRD pattern of HfBe4Cu8 (a PBE-relaxed structure; λ = 1.5418 Å (Cu Kα)).
Kinematic intensities with the Lorentz-polarization factor, no thermal factor.

Principal peaks in the range 10° ≤ 2θ ≤ 90°, sorted by position:
| d_spacing | intensity | (hkl) |
| --- | --- | --- |
| 4.044 | 477 | 2 0 0 |
| 2.820 | 264 | 2 1 1 |
| 2.313 | 530 | 3 0 1 |
| 2.252 | 402 | 0 0 2 |
| 2.022 | 248 | 4 0 0 |
| 2.008 | 1000 | 3 2 1 |

Structural model:
Cell lengths 8.087, 8.087, 4.505 Å; angles 90.00, 90.00, 90.00 degrees
Space group I4/mmm (No. 139)
One atom of each set of equivalent atoms:
Hf 0.000 0.000 0.000 (multiplicity 2)
Be 0.250 0.250 0.250 (multiplicity 8)
Cu 0.000 0.217 0.500 (multiplicity 8)
Cu 0.000 0.348 0.000 (multiplicity 8)